The following is a computed X-ray diffraction stick pattern of PrDy14Tm. It was derived from the PBE geometry in Alexandria, using Cu Ka.
Neutral-atom scattering factors, no anomalous dispersion.

Main lines, low angle first (10 to 90 degrees two-theta):
2θ = 29.99°, I = 42
2θ = 31.20°, I = 34
2θ = 32.96°, I = 100
2θ = 37.45°, I = 23
2θ = 51.28°, I = 26
2θ = 56.64°, I = 21
2θ = 61.26°, I = 30
2θ = 62.32°, I = 16
2θ = 84.84°, I = 14
2θ = 87.30°, I = 12

Structure:
Lattice parameters (Å, degrees): 11.4687 7.1266 7.1266 59.99 90.00 90.00
Fractional coordinates of all 16 atoms:
1 Pr 0.0000 0.0000 0.0000
2 Dy 0.0000 0.0001 0.5006
3 Dy 0.0000 0.5006 0.0001
4 Dy 0.2494 0.3336 0.3336
5 Dy 0.2514 0.3340 0.8329
6 Dy 0.2514 0.8329 0.3340
7 Dy 0.2523 0.8331 0.8331
8 Dy 0.5000 0.1668 0.1668
9 Dy 0.5000 0.1669 0.6662
10 Dy 0.5000 0.6662 0.1669
11 Dy 0.5000 0.6665 0.6665
12 Dy 0.7477 0.8331 0.8331
13 Dy 0.7486 0.3340 0.8329
14 Dy 0.7486 0.8329 0.3340
15 Dy 0.7506 0.3336 0.3336
16 Tm 0.0000 0.5003 0.5003